For LuPPt, the PBE geometry in the Materials Project gives the calculated powder diffractogram in this record (Cu Kα X-rays).

Largest 8 diffraction maxima, by angle, 5° ≤ 2θ ≤ 70°:
2theta	intensity	h k l
25.05	25.9	1 0 0
34.64	100.0	1 0 1
44.12	39.9	1 1 0
48.15	10.3	0 0 2
51.40	3.9	2 0 0
55.03	6.4	1 0 2
57.27	24.0	2 0 1
67.35	22.9	1 1 2

Structural model:
Lattice parameters (Å, degrees): 4.106 4.106 3.780 90.00 90.00 120.00
Element x y z (fractional)
Lu 0.000 0.000 0.000
P 0.667 0.333 0.500
Pt 0.333 0.667 0.500